This entry pairs a crystal structure of Y2Er3Tm9 with its theoretical powder XRD pattern. Radiation: Cu Kα (weighted mean of Kα1 and Kα2). Structure: a GGA-PBE-relaxed structure.
Kinematic intensities with the Lorentz-polarization factor, no thermal factor.

Largest 10 diffraction maxima, by intensity, 2θ from 10° to 90°:
2θ = 31.87°, I 100
2θ = 31.61°, I 64
2θ = 32.50°, I 54
2θ = 33.44°, I 51
2θ = 35.25°, I 41
2θ = 32.12°, I 33
2θ = 34.15°, I 32
2θ = 49.29°, I 21
2θ = 53.07°, I 21
2θ = 10.43°, I 17

Cell and atoms:
Cell lengths 6.1185, 8.6292, 8.6311 Å; angles 79.54, 77.49, 87.47 degrees
Element x y z (fractional)
1 Y 0.0452 0.0309 0.2964
2 Y 0.9548 0.9691 0.7036
3 Er 0.2481 0.6182 0.7261
4 Er 0.5000 0.0000 0.0000
5 Er 0.7519 0.3818 0.2739
6 Tm 0.0122 0.7477 0.0830
7 Tm 0.1545 0.3335 0.5053
8 Tm 0.3105 0.3840 0.1025
9 Tm 0.4110 0.6871 0.3038
10 Tm 0.5000 0.0000 0.5000
11 Tm 0.5890 0.3129 0.6962
12 Tm 0.6895 0.6160 0.8975
13 Tm 0.8455 0.6665 0.4947
14 Tm 0.9878 0.2523 0.9170

***

This entry pairs a crystal structure of Pr14SmAl with its theoretical powder XRD pattern. Radiation: Cu Kα (weighted mean of Kα1 and Kα2). Structure: a GGA-PBE-relaxed structure.
Kinematic intensities with the Lorentz-polarization factor, no thermal factor.

Largest 10 diffraction maxima, by intensity, 2θ from 10° to 90°:
2θ = 29.97°, I 100
2θ = 34.67°, I 34
2θ = 59.25°, I 28
2θ = 50.01°, I 23
2θ = 34.89°, I 16
2θ = 59.55°, I 13
2θ = 49.84°, I 12
2θ = 62.28°, I 12
2θ = 81.27°, I 11
2θ = 81.02°, I 6

Cell and atoms:
Cell lengths 10.2858, 7.3186, 7.3186 Å; angles 89.97, 90.00, 90.00 degrees
Element x y z (fractional)
1 Pr 0.0000 0.0000 0.0000
2 Pr 0.0000 0.0007 0.4995
3 Pr 0.0000 0.4995 0.0007
4 Pr 0.0000 0.5002 0.5002
5 Pr 0.2585 0.7569 0.7569
6 Pr 0.2591 0.2434 0.7568
7 Pr 0.2591 0.7568 0.2434
8 Pr 0.2598 0.2433 0.2433
9 Pr 0.5000 0.5013 0.9992
10 Pr 0.5000 0.9992 0.5013
11 Pr 0.7402 0.2433 0.2433
12 Pr 0.7409 0.2434 0.7568
13 Pr 0.7409 0.7568 0.2434
14 Pr 0.7415 0.7569 0.7569
15 Sm 0.5000 0.5001 0.5001
16 Al 0.5000 0.9996 0.9996

***

This entry pairs a crystal structure of La4InIr with its theoretical powder XRD pattern. Radiation: Cu Kα (weighted mean of Kα1 and Kα2). Structure: a GGA-PBE-relaxed structure.
Kinematic intensities with the Lorentz-polarization factor, no thermal factor.

Largest 10 diffraction maxima, by intensity, 2θ from 10° to 90°:
2θ = 29.97°, I 100
2θ = 30.51°, I 75
2θ = 34.55°, I 72
2θ = 19.04°, I 66
2θ = 22.09°, I 64
2θ = 32.88°, I 53
2θ = 12.83°, I 49
2θ = 49.92°, I 44
2θ = 38.13°, I 39
2θ = 44.63°, I 35

Cell and atoms:
Cell lengths 9.0367, 9.0367, 7.2014 Å; angles 107.76, 107.76, 116.70 degrees
Element x y z (fractional)
1 La 0.0566 0.6240 0.8383
2 La 0.1928 0.2642 0.7333
3 La 0.2642 0.1928 0.2333
4 La 0.3760 0.9434 0.6617
5 La 0.6240 0.0566 0.3383
6 La 0.7358 0.8072 0.7667
7 La 0.8072 0.7358 0.2667
8 La 0.9434 0.3760 0.1617
9 In 0.3792 0.6208 0.2500
10 In 0.6208 0.3792 0.7500
11 Ir 0.0848 0.9152 0.7500
12 Ir 0.9152 0.0848 0.2500

***

This entry pairs a crystal structure of TbCd3Ni8 with its theoretical powder XRD pattern. Radiation: Cu Kα (weighted mean of Kα1 and Kα2). Structure: a GGA-PBE-relaxed structure.
Kinematic intensities with the Lorentz-polarization factor, no thermal factor.

Largest 10 diffraction maxima, by intensity, 2θ from 10° to 90°:
2θ = 42.90°, I 100
2θ = 36.34°, I 53
2θ = 69.90°, I 29
2θ = 77.17°, I 22
2θ = 44.90°, I 21
2θ = 65.38°, I 18
2θ = 88.42°, I 8
2θ = 22.02°, I 5
2θ = 57.44°, I 1
2θ = 81.42°, I 1

Cell and atoms:
Cell lengths 8.5618, 8.5618, 8.5618 Å; angles 33.57, 33.57, 33.57 degrees
Element x y z (fractional)
1 Tb 0.0000 0.0000 0.0000
2 Cd 0.1272 0.1272 0.1272
3 Cd 0.4979 0.4979 0.4979
4 Cd 0.6198 0.6198 0.6198
5 Ni 0.0620 0.0620 0.5596
6 Ni 0.0620 0.5596 0.0620
7 Ni 0.0626 0.5624 0.5624
8 Ni 0.3115 0.3115 0.3115
9 Ni 0.5596 0.0620 0.0620
10 Ni 0.5624 0.0626 0.5624
11 Ni 0.5624 0.5624 0.0626
12 Ni 0.8117 0.8117 0.8117